Starting from a cell relaxed with GGA-PBE, the powder XRD pattern of PrCo5H4 was computed for Cu Kα.

Structure:
a = 5.1964 Å, b = 5.1964 Å, c = 4.0395 Å
α = 90.00°, β = 90.00°, γ = 116.48°
Atoms (fractional coordinates):
Pr 0.0000 0.0000 0.0000
Co 0.0000 0.5000 0.5000
Co 0.3646 0.6354 0.0000
Co 0.5000 0.0000 0.5000
Co 0.5000 0.5000 0.5000
Co 0.6354 0.3646 0.0000
H 0.0000 0.5000 0.0000
H 0.1446 0.8554 0.5000
H 0.5000 0.0000 0.0000
H 0.8554 0.1446 0.5000

Largest 10 diffraction maxima, low angle first, 2θ = 10–90°:
2theta  I/Imax
29.28  38
29.97  44
34.59  28
38.72  62
39.80  61
41.37  100
44.88  45
59.56  29
60.73  31
64.36  25



Starting from a cell relaxed with GGA-PBE, the powder XRD pattern of Zr6CoSn2H10 was computed for Cu Kα.

Structure:
a = 8.1617 Å, b = 8.1617 Å, c = 7.3615 Å
α = 90.00°, β = 90.00°, γ = 120.00°
Atoms (fractional coordinates):
Zr 0.0000 0.7447 0.0000
Zr 0.0000 0.7447 0.5000
Zr 0.0466 0.4182 0.2500
Zr 0.2553 0.2553 0.0000
Zr 0.2553 0.2553 0.5000
Zr 0.3717 0.9534 0.2500
Zr 0.4182 0.0466 0.7500
Zr 0.5818 0.6283 0.2500
Zr 0.6283 0.5818 0.7500
Zr 0.7447 0.0000 0.0000
Zr 0.7447 0.0000 0.5000
Zr 0.9534 0.3717 0.7500
Co 0.0000 0.0000 0.2500
Co 0.0000 0.0000 0.7500
Sn 0.3333 0.6667 0.5413
Sn 0.3333 0.6667 0.9587
Sn 0.6667 0.3333 0.0413
Sn 0.6667 0.3333 0.4587
H 0.0000 0.0000 0.0000
H 0.0000 0.0000 0.5000
H 0.0000 0.2775 0.0000
H 0.0000 0.2775 0.5000
H 0.1084 0.7067 0.2500
H 0.1169 0.2346 0.7500
H 0.1177 0.8831 0.7500
H 0.2346 0.1169 0.2500
H 0.2775 0.0000 0.0000
H 0.2775 0.0000 0.5000
H 0.2933 0.4017 0.2500
H 0.4017 0.2933 0.7500
H 0.5983 0.8916 0.2500
H 0.7067 0.1084 0.7500
H 0.7225 0.7225 0.0000
H 0.7225 0.7225 0.5000
H 0.7654 0.8823 0.7500
H 0.8823 0.7654 0.2500
H 0.8831 0.1177 0.2500
H 0.8916 0.5983 0.7500

Largest 10 diffraction maxima, low angle first, 2θ = 10–90°:
2theta  I/Imax
32.77  100
33.54  59
35.20  70
35.75  23
38.20  58
41.78  41
49.53  17
59.98  16
61.15  18
62.60  31



Starting from a cell relaxed with GGA-PBE, the powder XRD pattern of YCo3H2 was computed for Cu Kα.

Structure:
a = 9.5647 Å, b = 9.5647 Å, c = 9.5647 Å
α = 29.94°, β = 29.94°, γ = 29.94°
Atoms (fractional coordinates):
Y 0.0000 0.0000 0.0000
Y 0.1281 0.1281 0.1281
Y 0.8719 0.8719 0.8719
Co 0.0732 0.5709 0.5709
Co 0.3321 0.3321 0.3321
Co 0.4291 0.4291 0.9268
Co 0.4291 0.9268 0.4291
Co 0.5000 0.5000 0.5000
Co 0.5709 0.0732 0.5709
Co 0.5709 0.5709 0.0732
Co 0.6679 0.6679 0.6679
Co 0.9268 0.4291 0.4291
H 0.1406 0.6314 0.6314
H 0.3686 0.3686 0.8594
H 0.3686 0.8594 0.3686
H 0.6314 0.1406 0.6314
H 0.6314 0.6314 0.1406
H 0.8594 0.3686 0.3686

Largest 10 diffraction maxima, low angle first, 2θ = 10–90°:
2theta  I/Imax
30.97  39
33.52  76
36.37  48
41.57  100
42.38  53
42.78  27
45.52  35
47.40  44
49.95  24
77.23  30



Starting from a cell relaxed with GGA-PBE, the powder XRD pattern of ZrCoH3 was computed for Cu Kα.

Structure:
a = 5.4887 Å, b = 5.4887 Å, c = 4.3133 Å
α = 90.00°, β = 90.00°, γ = 142.35°
Atoms (fractional coordinates):
Zr 0.1332 0.8668 0.7500
Zr 0.8668 0.1332 0.2500
Co 0.4270 0.5730 0.7500
Co 0.5730 0.4270 0.2500
H 0.0743 0.9257 0.2500
H 0.3138 0.6862 0.0052
H 0.3138 0.6862 0.4948
H 0.6862 0.3138 0.5052
H 0.6862 0.3138 0.9948
H 0.9257 0.0743 0.7500

Largest 10 diffraction maxima, low angle first, 2θ = 10–90°:
2theta  I/Imax
26.87  18
33.86  100
34.53  30
36.28  32
40.54  21
41.89  35
42.07  77
51.61  20
56.59  19
68.56  29



Starting from a cell relaxed with GGA-PBE, the powder XRD pattern of Hf4Co was computed for Cu Kα.

Structure:
a = 6.7977 Å, b = 6.7977 Å, c = 6.7977 Å
α = 60.00°, β = 60.00°, γ = 60.00°
Atoms (fractional coordinates):
Hf 0.2070 0.7643 0.7643
Hf 0.2357 0.2357 0.2357
Hf 0.2357 0.2357 0.7930
Hf 0.2357 0.7930 0.2357
Hf 0.7643 0.2070 0.7643
Hf 0.7643 0.7643 0.2070
Hf 0.7643 0.7643 0.7643
Hf 0.7930 0.2357 0.2357
Co 0.3750 0.3750 0.3750
Co 0.6250 0.6250 0.6250

Largest 10 diffraction maxima, low angle first, 2θ = 10–90°:
2theta  I/Imax
32.26  100
37.42  40
40.92  13
49.25  17
53.95  36
64.27  32
69.88  8
76.04  7
82.05  7
88.71  11



Starting from a cell relaxed with GGA-PBE, the powder XRD pattern of HfCo3 was computed for Cu Kα.

Structure:
a = 5.3340 Å, b = 5.3340 Å, c = 4.2410 Å
α = 90.00°, β = 90.00°, γ = 120.00°
Atoms (fractional coordinates):
Hf 0.3333 0.6667 0.2500
Hf 0.6667 0.3333 0.7500
Co 0.1549 0.3099 0.7500
Co 0.1549 0.8451 0.7500
Co 0.3099 0.1549 0.2500
Co 0.6901 0.8451 0.7500
Co 0.8451 0.1549 0.2500
Co 0.8451 0.6901 0.2500

Largest 10 diffraction maxima, low angle first, 2θ = 10–90°:
2theta  I/Imax
28.57  40
33.60  16
39.00  25
42.64  26
44.68  100
59.15  14
70.64  15
79.49  17
86.15  18
87.55  13



Starting from a cell relaxed with GGA-PBE, the powder XRD pattern of Hf6Co23 was computed for Cu Kα.

Structure:
a = 8.0291 Å, b = 8.0291 Å, c = 8.0291 Å
α = 60.00°, β = 60.00°, γ = 60.00°
Atoms (fractional coordinates):
Hf 0.2102 0.2102 0.7898
Hf 0.2102 0.7898 0.2102
Hf 0.2102 0.7898 0.7898
Hf 0.7898 0.2102 0.2102
Hf 0.7898 0.2102 0.7898
Hf 0.7898 0.7898 0.2102
Co 0.0000 0.0000 0.5000
Co 0.0000 0.5000 0.0000
Co 0.0000 0.5000 0.5000
Co 0.1399 0.6200 0.6200
Co 0.1734 0.1734 0.1734
Co 0.1734 0.1734 0.4798
Co 0.1734 0.4798 0.1734
Co 0.3800 0.3800 0.3800
Co 0.3800 0.3800 0.8601
Co 0.3800 0.8601 0.3800
Co 0.4798 0.1734 0.1734
Co 0.5000 0.0000 0.0000
Co 0.5000 0.0000 0.5000
Co 0.5000 0.5000 0.0000
Co 0.5000 0.5000 0.5000
Co 0.5202 0.8266 0.8266
Co 0.6200 0.1399 0.6200
Co 0.6200 0.6200 0.1399
Co 0.6200 0.6200 0.6200
Co 0.8266 0.5202 0.8266
Co 0.8266 0.8266 0.5202
Co 0.8266 0.8266 0.8266
Co 0.8601 0.3800 0.3800

Largest 10 diffraction maxima, low angle first, 2θ = 10–90°:
2theta  I/Imax
27.21  30
31.52  20
34.43  21
38.85  32
41.32  86
45.17  100
62.87  16
67.52  16
70.35  21
89.22  21



Starting from a cell relaxed with GGA-PBE, the powder XRD pattern of Hf2Co was computed for Cu Kα.

Structure:
a = 8.4972 Å, b = 8.4972 Å, c = 8.4972 Å
α = 60.00°, β = 60.00°, γ = 60.00°
Atoms (fractional coordinates):
Hf 0.0000 0.0000 0.0000
Hf 0.0000 0.0000 0.5000
Hf 0.0000 0.5000 0.0000
Hf 0.1872 0.1872 0.5628
Hf 0.1872 0.5628 0.1872
Hf 0.1872 0.5628 0.5628
Hf 0.4372 0.4372 0.8128
Hf 0.4372 0.8128 0.4372
Hf 0.4372 0.8128 0.8128
Hf 0.5000 0.0000 0.0000
Hf 0.5628 0.1872 0.1872
Hf 0.5628 0.1872 0.5628
Hf 0.5628 0.5628 0.1872
Hf 0.8128 0.4372 0.4372
Hf 0.8128 0.4372 0.8128
Hf 0.8128 0.8128 0.4372
Co 0.1658 0.7780 0.7780
Co 0.2220 0.2220 0.2220
Co 0.2220 0.2220 0.8342
Co 0.2220 0.8342 0.2220
Co 0.7780 0.1658 0.7780
Co 0.7780 0.7780 0.1658
Co 0.7780 0.7780 0.7780
Co 0.8342 0.2220 0.2220

Largest 10 diffraction maxima, low angle first, 2θ = 10–90°:
2theta  I/Imax
32.48  50
36.64  48
38.94  100
42.56  43
59.05  11
63.35  13
65.96  40
67.50  18
79.33  16
83.15  11



Starting from a cell relaxed with GGA-PBE, the powder XRD pattern of HfMg6Co was computed for Cu Kα.

Structure:
a = 4.7964 Å, b = 6.3478 Å, c = 6.3478 Å
α = 57.41°, β = 90.00°, γ = 90.00°
Atoms (fractional coordinates):
Hf 0.0000 0.0000 0.0000
Mg 0.0000 0.4732 0.4732
Mg 0.0000 0.4751 0.9896
Mg 0.0000 0.9896 0.4751
Mg 0.5000 0.1302 0.6435
Mg 0.5000 0.6337 0.6337
Mg 0.5000 0.6435 0.1302
Co 0.5000 0.1073 0.1073

Largest 10 diffraction maxima, low angle first, 2θ = 10–90°:
2theta  I/Imax
15.92  47
16.58  100
24.94  31
33.51  42
33.89  27
37.35  56
37.50  30
38.55  62
51.18  29
73.57  22



Starting from a cell relaxed with GGA-PBE, the powder XRD pattern of HfMg6Co was computed for Cu Kα.

Structure:
a = 4.9159 Å, b = 6.3178 Å, c = 6.3178 Å
α = 54.28°, β = 90.00°, γ = 90.00°
Atoms (fractional coordinates):
Hf 0.0000 0.0000 0.0000
Mg 0.0000 0.9998 0.4964
Mg 0.0000 0.4964 0.9998
Mg 0.5000 0.1505 0.1505
Mg 0.5000 0.1549 0.6482
Mg 0.5000 0.6265 0.6265
Mg 0.5000 0.6482 0.1549
Co 0.0000 0.4861 0.4861

Largest 10 diffraction maxima, low angle first, 2θ = 10–90°:
2theta  I/Imax
15.76  83
17.29  42
18.04  56
24.05  52
25.09  41
34.99  49
36.56  44
36.83  77
39.64  100
51.50  32



Starting from a cell relaxed with GGA-PBE, the powder XRD pattern of HfCoN2 was computed for Cu Kα.

Structure:
a = 3.1062 Å, b = 3.1062 Å, c = 9.5483 Å
α = 90.00°, β = 90.00°, γ = 120.00°
Atoms (fractional coordinates):
Hf 0.3333 0.6667 0.2500
Hf 0.6667 0.3333 0.7500
Co 0.0000 0.0000 0.0000
Co 0.0000 0.0000 0.5000
N 0.3333 0.6667 0.6125
N 0.3333 0.6667 0.8875
N 0.6667 0.3333 0.1125
N 0.6667 0.3333 0.3875

Largest 10 diffraction maxima, low angle first, 2θ = 10–90°:
2theta  I/Imax
18.59  47
34.64  100
37.68  32
38.41  88
44.08  80
59.35  29
59.52  37
68.51  17
72.62  29
76.96  15



Starting from a cell relaxed with GGA-PBE, the powder XRD pattern of Hf2CoOs was computed for Cu Kα.

Structure:
a = 4.5631 Å, b = 4.5631 Å, c = 4.5631 Å
α = 60.00°, β = 60.00°, γ = 60.00°
Atoms (fractional coordinates):
Hf 0.2500 0.2500 0.2500
Hf 0.7500 0.7500 0.7500
Co 0.0000 0.0000 0.0000
Os 0.5000 0.5000 0.5000

Largest 10 diffraction maxima, low angle first, 2θ = 10–90°:
2theta  I/Imax
23.88  10
27.65  4
39.50  100
46.68  5
57.09  17
62.76  2
71.64  35
76.74  2
85.03  11
89.94  2



What is the formula in the seventh record?
Hf6Co23